For Na2MnFeF7, the GGA+U geometry in Alexandria gives the computed powder XRD pattern in this record (copper Kα).
Intensities are scaled so that the largest is 100.

Cell and atoms:
```
data_Na2MnFeF7
_symmetry_space_group_name_H-M 'I m m a'
_symmetry_Int_Tables_number 74
_symmetry_space_group_name_Hall '-I 2b 2'
_cell_length_a 7.475
_cell_length_b 10.726
_cell_length_c 7.688
_cell_angle_alpha 90.00
_cell_angle_beta 90.00
_cell_angle_gamma 90.00
loop_
_atom_site_label
_atom_site_type_symbol
_atom_site_fract_x
_atom_site_fract_y
_atom_site_fract_z
Na1 Na 0.000 0.000 0.000
Na2 Na 0.250 0.250 0.250
Mn1 Mn 0.250 0.250 0.750
Fe1 Fe 0.000 0.000 0.500
F1 F 0.000 0.084 0.269
F2 F 0.000 0.250 0.870
F3 F 0.194 0.115 0.556
```

Top 12 peaks for 10 to 90 degrees two-theta, by angle:
2θ (°)  I/Imax  hkl
14.2  48  0 1 1
16.5  46  1 0 1
23.5  42  1 2 1
27.8  24  2 1 1
28.6  100  0 2 2
29.1  97  2 2 0
33.4  27  0 4 0
48.0  92  2 4 2
48.7  24  4 0 0
56.5  42  2 2 4
56.8  23  0 6 2
57.5  23  4 2 2